Starting from the GGA-PBE geometry in OQMD, the X-ray diffraction stick pattern of BaSrZr4O8 was computed for Cu Kα (λ = 1.5418 Å).
Kinematic intensities with the Lorentz-polarization factor, no thermal factor.

Structure:
a b c (Å): 5.8829 5.8829 7.8718
angles (deg): 90.00 90.00 120.00
Space group P-31m (No. 162)
Unique sites:
Ba  0.0000  0.0000  0.0000 x1
Sr  0.0000  0.0000  0.5000 x1
Zr  0.3333  0.6667  0.2617 x4
O  0.0000  0.3069  0.2592 x6
O  0.3333  0.6667  0.0000 x2

Most intense lines, 2θ from 15° to 90°, in order of rising 2θ:
d_spacing  Rel. int.  hkl
3.936  11  0 0 2
3.115  99  1 0 2
2.941  100  1 1 0
2.139  39  2 0 2
1.968  15  0 0 4
1.730  38  2 1 2
1.698  28  3 0 0
1.636  32  2 -1 4
1.471  12  2 2 0
1.330  14  4 -1 2
1.286  20  3 0 4
1.178  11  2 2 4

---

Starting from the GGA-PBE geometry in OQMD, the X-ray diffraction stick pattern of BaTa2O6 was computed for Cu Kα (λ = 1.5418 Å).
Kinematic intensities with the Lorentz-polarization factor, no thermal factor.

Structure:
a b c (Å): 10.469 3.933 6.204
angles (deg): 90.00 90.00 90.00
Space group Pmma (No. 51)
Unique sites:
Ba  0.250  0.000  0.186 x2
Ta  0.076  0.500  0.715 x4
O  0.000  0.500  0.000 x2
O  0.082  0.000  0.719 x4
O  0.110  0.500  0.396 x4
O  0.250  0.500  0.842 x2

Most intense lines, 2θ from 15° to 90°, in order of rising 2θ:
d_spacing  Rel. int.  hkl
3.933  30  0 1 0
3.166  72  1 1 1
3.144  53  2 1 0
3.102  44  0 0 2
3.042  100  3 0 1
2.407  17  3 1 1
2.208  21  2 1 2
1.997  14  3 1 2
1.966  22  0 2 0
1.771  25  5 1 1
1.661  14  0 2 2
1.651  34  3 2 1

---

Starting from the GGA-PBE geometry in OQMD, the X-ray diffraction stick pattern of Ba2Ta15O32 was computed for Cu Kα (λ = 1.5418 Å).
Kinematic intensities with the Lorentz-polarization factor, no thermal factor.

Structure:
a b c (Å): 7.7839 7.7839 35.4898
angles (deg): 90.00 90.00 120.00
Space group R-3 (No. 148, hexagonal axes)
Unique sites:
Ba  0.0000  0.0000  0.1392 x6
Ta  0.0000  0.0000  0.3613 x6
Ta  0.0000  0.0000  0.5000 x3
Ta  0.0263  0.2176  0.0326 x18
Ta  0.0698  0.4741  0.9002 x18
O  0.0000  0.0000  0.2623 x6
O  0.0204  0.2206  0.5317 x18
O  0.0326  0.2356  0.9310 x18
O  0.0578  0.2345  0.7944 x18
O  0.0593  0.2356  0.3965 x18
O  0.0659  0.2378  0.6672 x18

Most intense lines, 2θ from 15° to 90°, in order of rising 2θ:
d_spacing  Rel. int.  hkl
4.888  37  0 1 5
3.705  56  0 1 8
3.251  100  2 -1 6
3.146  90  0 2 4
3.045  62  2 0 5
2.770  48  1 1 9
2.541  79  2 1 1
2.448  65  2 1 4
2.398  38  1 2 5
2.070  39  2 1 10
1.797  80  3 -2 14
1.471  49  1 4 0

---

Starting from the GGA-PBE geometry in OQMD, the X-ray diffraction stick pattern of Ba4Ta2O9 was computed for Cu Kα (λ = 1.5418 Å).
Kinematic intensities with the Lorentz-polarization factor, no thermal factor.

Structure:
a b c (Å): 6.1040 6.1040 16.4574
angles (deg): 90.00 90.00 120.00
Space group P6_3/m (No. 176)
Unique sites:
Ba  0.0000  0.0000  0.0000 x2
Ba  0.0000  0.0000  0.2500 x2
Ba  0.3333  0.6667  0.1316 x4
Ta  0.3333  0.6667  0.6592 x4
O  0.0428  0.4723  0.7500 x6
O  0.1080  0.7528  0.6072 x12

Most intense lines, 2θ from 15° to 90°, in order of rising 2θ:
d_spacing  Rel. int.  hkl
5.033  14  1 0 1
3.247  82  1 0 4
3.052  100  1 1 0
2.224  40  2 0 4
2.040  18  1 1 6
1.797  29  1 2 4
1.762  23  3 0 0
1.706  11  1 1 8
1.526  16  2 2 0
1.381  13  1 3 4
1.163  9  3 2 4
1.154  12  1 4 0

---

Starting from the GGA-PBE geometry in OQMD, the X-ray diffraction stick pattern of Ba2Ta6Te2O21 was computed for Cu Kα (λ = 1.5418 Å).
Kinematic intensities with the Lorentz-polarization factor, no thermal factor.

Structure:
a b c (Å): 16.793 5.690 9.630
angles (deg): 90.00 96.78 90.00
Space group C2/m (No. 12)
Unique sites:
Ba  0.138  0.000  0.025 x4
Ta  0.021  0.500  0.164 x4
Ta  0.100  0.000  0.420 x4
Ta  0.177  0.500  0.675 x4
Te  0.224  0.500  0.254 x4
O  0.000  0.000  0.500 x2
O  0.000  0.275  0.000 x4
O  0.066  0.242  0.279 x8
O  0.082  0.500  0.781 x4
O  0.142  0.500  0.101 x4
O  0.145  0.249  0.554 x8
O  0.209  0.000  0.348 x4
O  0.218  0.240  0.831 x8

Most intense lines, 2θ from 15° to 90°, in order of rising 2θ:
d_spacing  Rel. int.  hkl
4.618  26  1 1 1
3.998  30  4 0 -1
3.566  40  3 1 1
3.510  100  1 1 2
3.344  37  4 0 -2
3.192  34  3 1 -2
2.877  60  5 1 0
2.845  51  0 2 0
2.790  29  1 1 -3
2.681  22  5 1 1
2.019  33  2 2 3
1.713  26  7 1 -4

---

Starting from the GGA-PBE geometry in OQMD, the X-ray diffraction stick pattern of Ba3Ta2ZnO9 was computed for Cu Kα (λ = 1.5418 Å).
Kinematic intensities with the Lorentz-polarization factor, no thermal factor.

Structure:
a b c (Å): 5.7917 5.7917 7.1309
angles (deg): 90.00 90.00 120.00
Space group P-3m1 (No. 164)
Unique sites:
Ba  0.0000  0.0000  0.0000 x1
Ba  0.3333  0.6667  0.6621 x2
Ta  0.3333  0.6667  0.1751 x2
Zn  0.0000  0.0000  0.5000 x1
O  0.0000  0.5000  0.0000 x3
O  0.1716  0.3431  0.3236 x6

Most intense lines, 2θ from 15° to 90°, in order of rising 2θ:
d_spacing  Rel. int.  hkl
2.906  100  0 1 2
2.896  98  1 1 0
2.051  57  2 0 2
1.680  20  1 0 4
1.673  60  3 0 0
1.453  18  0 2 4
1.448  18  2 2 0
1.299  18  2 1 4
1.296  17  3 1 2
1.099  10  1 1 6
1.097  11  1 3 4
1.095  22  4 1 0

---

Starting from the GGA-PBE geometry in OQMD, the X-ray diffraction stick pattern of BaZn2O4 was computed for Cu Kα (λ = 1.5418 Å).
Kinematic intensities with the Lorentz-polarization factor, no thermal factor.

Structure:
a b c (Å): 9.266 9.266 9.266
angles (deg): 90.00 90.00 90.00
Space group Fd-3m (No. 227, origin choice 2)
Unique sites:
Ba  0.125  0.125  0.125 x8
Zn  0.000  0.000  0.500 x16
O  0.025  0.025  0.725 x32

Most intense lines, 2θ from 15° to 90°, in order of rising 2θ:
d_spacing  Rel. int.  hkl
3.276  58  2 2 0
2.794  100  3 1 1
2.675  8  2 2 2
1.891  20  4 2 2
1.783  44  5 1 1
1.638  38  4 4 0
1.465  8  6 2 0
1.413  13  5 3 3
1.397  6  6 2 2
1.238  13  6 4 2
1.206  20  5 5 3
1.092  7  6 6 0

---

Starting from the GGA-PBE geometry in OQMD, the X-ray diffraction stick pattern of Ba2Zr2O5 was computed for Cu Kα (λ = 1.5418 Å).
Kinematic intensities with the Lorentz-polarization factor, no thermal factor.

Structure:
a b c (Å): 16.918 5.957 5.993
angles (deg): 90.00 90.00 90.00
Space group Ima2 (No. 46)
Unique sites:
Ba  0.122  0.001  0.000 x8
Zr  0.000  0.000  0.500 x4
Zr  0.250  0.507  0.000 x4
O  0.001  0.750  0.250 x8
O  0.126  0.011  0.500 x8
O  0.250  0.748  0.748 x4

Most intense lines, 2θ from 15° to 90°, in order of rising 2θ:
d_spacing  Rel. int.  hkl
2.991  100  0 0 2
2.978  21  0 2 0
2.113  35  0 2 2
1.728  24  8 0 2
1.723  24  8 2 0
1.495  14  8 2 2
1.338  10  0 2 4
1.336  7  4 3 3
1.132  4  4 1 5
1.131  8  8 2 4
1.128  8  8 4 2
1.126  4  4 5 1